Theoretical powder diffraction line list
Compound: DyPaAg
Radiation: copper Kα
Structure: DFT lattice parameters and positions (GGA-PBE)
Lines closer than 0.1° are merged.

Principal peaks in the range 10 to 90 degrees two-theta, in order of rising 2θ:
2θ 16.57, intensity 42.8
2θ 22.88, intensity 28.1
2θ 30.79, intensity 26.9
2θ 33.50, intensity 56.6
2θ 34.02, intensity 57.6
2θ 35.41, intensity 100.0
2θ 37.09, intensity 28.9
2θ 46.74, intensity 38.8
2θ 52.96, intensity 38.2
2θ 80.10, intensity 25.4

Structural model:
```
DyPaAg
1.0
0.0000 2.8780 10.7015
2.7191 0.0000 10.7015
2.7191 2.8780 0.0000
Dy Pa Ag
2 2 2
Direct
0.1172 0.1172 0.8828
0.8828 0.8828 0.1172
0.2500 0.2500 0.2500
0.7500 0.7500 0.7500
0.2682 0.7318 0.2682
0.7318 0.2682 0.7318
```